(1)
Starting from a structure optimized by DFT (PBE+U), the PXRD pattern of Nd2MoSe2O10 was calculated for Cu Kα X-rays.
Kinematic intensities with the Lorentz-polarization factor, no thermal factor.

```
data_Nd2MoSe2O10
_space_group_name_H-M_alt 'P -1'
_space_group_IT_number 2
_cell_length_a 5.4569
_cell_length_b 6.9704
_cell_length_c 12.7640
_cell_angle_alpha 85.59
_cell_angle_beta 83.70
_cell_angle_gamma 69.94
loop_
_space_group_symop_operation_xyz
'x,y,z'
'-x,-y,-z'
loop_
_atom_site_label
_atom_site_fract_x
_atom_site_fract_y
_atom_site_fract_z
Nd1 0.0855 0.3868 0.3522
Nd2 0.1679 0.1966 0.0475
Mo1 0.3635 0.7777 0.4412
Se1 0.2617 0.9231 0.7769
Se2 0.3945 0.6029 0.1312
O1 0.1189 0.7327 0.7803
O2 0.1426 0.9919 0.9049
O3 0.1469 0.6247 0.4700
O4 0.1734 0.0261 0.3940
O5 0.1807 0.6647 0.2419
O6 0.1832 0.5583 0.0449
O7 0.3551 0.3417 0.6469
O8 0.4128 0.2180 0.2026
O9 0.4388 0.8327 0.0809
O10 0.4791 0.7866 0.5661
```

Principal peaks in the range 2θ from 5° to 70°, in order of rising 2θ:
- 2θ 15.50, I 16.1, hkl 0 1 -1
- 2θ 26.18, I 100.0, hkl 1 1 3
- 2θ 28.56, I 38.1, hkl 1 2 -1
- 2θ 28.60, I 43.5, hkl 1 0 -3
- 2θ 30.22, I 25.6, hkl 0 2 2
- 2θ 31.89, I 17.9, hkl 0 1 -4
- 2θ 33.08, I 19.7, hkl 2 1 0
- 2θ 43.50, I 10.9, hkl 2 0 4
- 2θ 44.51, I 23.3, hkl 0 1 6
- 2θ 45.41, I 23.8, hkl 2 3 2
- 2θ 51.27, I 12.7, hkl -1 3 1
- 2θ 52.07, I 12.0, hkl 1 0 7

***

(2)
Starting from a structure optimized by DFT (PBE+U), the PXRD pattern of MoO2 was calculated for Cu Kα X-rays.
Kinematic intensities with the Lorentz-polarization factor, no thermal factor.

```
data_MoO2
_space_group_name_H-M_alt 'P 1 21/c 1'
_space_group_IT_number 14
_cell_length_a 5.5993
_cell_length_b 4.9253
_cell_length_c 5.6953
_cell_angle_alpha 90.00
_cell_angle_beta 120.09
_cell_angle_gamma 90.00
loop_
_space_group_symop_operation_xyz
'x,y,z'
'-x,-y,-z'
'-x,y+1/2,-z+1/2'
'x,-y+1/2,z+1/2'
loop_
_atom_site_label
_atom_site_fract_x
_atom_site_fract_y
_atom_site_fract_z
Mo1 0.2308 0.0078 0.2143
O1 0.1121 0.7157 0.3767
O2 0.3902 0.1958 0.5929
```

Principal peaks in the range 2θ from 5° to 70°, in order of rising 2θ:
- 2θ 25.66, I 100.0, hkl 1 1 -1
- 2θ 36.47, I 21.9, hkl 0 0 2
- 2θ 36.73, I 33.9, hkl 1 1 1
- 2θ 37.11, I 14.5, hkl 2 0 0
- 2θ 52.49, I 21.4, hkl 0 2 2
- 2θ 52.75, I 17.5, hkl 2 2 -2
- 2θ 53.03, I 12.2, hkl 2 2 0
- 2θ 53.41, I 13.2, hkl 3 1 -1
- 2θ 59.35, I 11.4, hkl 1 3 -1
- 2θ 59.74, I 6.8, hkl 3 1 -3
- 2θ 65.83, I 7.7, hkl 1 3 1
- 2θ 66.84, I 3.8, hkl 4 0 -2

***

(3)
Starting from a structure optimized by DFT (PBE+U), the PXRD pattern of LiCr3Fe2O8 was calculated for Cu Kα X-rays.
Kinematic intensities with the Lorentz-polarization factor, no thermal factor.

```
data_LiCr3Fe2O8
_space_group_name_H-M_alt 'R 3 m'
_space_group_IT_number 160
_space_group_name_Hall 'R 3 -2"'
_cell_length_a 5.9974
_cell_length_b 5.9974
_cell_length_c 14.7131
_cell_angle_alpha 90.00
_cell_angle_beta 90.00
_cell_angle_gamma 120.00
loop_
_atom_site_label
_atom_site_fract_x
_atom_site_fract_y
_atom_site_fract_z
Li1 0.0000 0.0000 0.0000
Cr1 0.0081 0.5041 0.8763
Fe1 0.0000 0.0000 0.3707
Fe2 0.0000 0.0000 0.7503
O1 0.0000 0.0000 0.1382
O2 0.0000 0.0000 0.6172
O3 0.0182 0.5091 0.1286
O4 0.1819 0.3637 0.9541
```

Principal peaks in the range 2θ from 5° to 70°, in order of rising 2θ:
- 2θ 18.11, I 54.3, hkl 1 0 1
- 2θ 20.94, I 18.4, hkl 0 1 2
- 2θ 29.78, I 14.7, hkl 1 1 0
- 2θ 35.07, I 100.0, hkl 0 1 5
- 2θ 36.69, I 13.7, hkl 2 0 2
- 2θ 42.62, I 44.9, hkl 0 2 4
- 2θ 46.65, I 8.2, hkl 1 0 7
- 2θ 47.94, I 2.8, hkl 1 2 2
- 2θ 52.85, I 4.8, hkl 3 0 0
- 2θ 56.34, I 38.2, hkl 1 2 5
- 2θ 61.85, I 51.7, hkl 2 2 0
- 2θ 65.02, I 7.3, hkl 2 1 7

***

(4)
Starting from a structure optimized by DFT (PBE+U), the PXRD pattern of Na2V2O5 was calculated for Cu Kα X-rays.
Kinematic intensities with the Lorentz-polarization factor, no thermal factor.

```
data_Na2V2O5
_space_group_name_H-M_alt 'P 1 21/c 1'
_space_group_IT_number 14
_cell_length_a 8.7115
_cell_length_b 5.4402
_cell_length_c 12.4444
_cell_angle_alpha 90.00
_cell_angle_beta 102.41
_cell_angle_gamma 90.00
loop_
_space_group_symop_operation_xyz
'x,y,z'
'-x,-y,-z'
'-x,y+1/2,-z+1/2'
'x,-y+1/2,z+1/2'
loop_
_atom_site_label
_atom_site_fract_x
_atom_site_fract_y
_atom_site_fract_z
Na1 0.1152 0.2320 0.0574
Na2 0.3527 0.6973 0.5311
V1 0.1024 0.6990 0.2261
V2 0.4778 0.6666 0.8264
O1 0.0592 0.1332 0.7264
O2 0.1038 0.7122 0.5914
O3 0.2739 0.7425 0.8392
O4 0.3866 0.2320 0.0606
O5 0.4957 0.1592 0.2980
```

Principal peaks in the range 2θ from 5° to 70°, in order of rising 2θ:
- 2θ 14.58, I 86.0, hkl 0 0 2
- 2θ 19.37, I 64.9, hkl 1 1 0
- 2θ 20.88, I 73.5, hkl 2 0 0
- 2θ 22.91, I 100.0, hkl 1 1 -2
- 2θ 27.45, I 32.1, hkl 0 1 3
- 2θ 28.08, I 72.1, hkl 2 0 2
- 2θ 29.00, I 39.6, hkl 1 0 -4
- 2θ 31.61, I 35.8, hkl 2 1 -3
- 2θ 31.82, I 52.0, hkl 3 0 -2
- 2θ 32.93, I 94.6, hkl 0 2 0
- 2θ 48.38, I 40.0, hkl 1 0 6
- 2θ 55.52, I 35.5, hkl 4 0 -6